Simulated powder diffraction line list
Compound: MgMn6O4F8
Radiation: Cu Kα, 1.54184 Å
Structure: a cell relaxed with GGA+U
Intensities are scaled so that the largest is 100.

Crystal structure
```
MgMn6O4F8
1.0
5.428 0.000 0.000
-1.079 5.474 0.000
-0.533 -0.224 8.280
Mg Mn O F
1 6 4 8
Cartesian
0.000 0.000 0.000
0.799 3.201 2.038
1.120 1.229 5.058
0.699 3.955 7.029
2.642 4.104 4.611
3.490 1.460 2.686
3.400 2.247 7.601
-0.030 3.876 0.425
1.745 2.358 3.510
1.063 5.167 5.461
1.952 2.556 6.169
-0.103 1.286 1.493
-0.273 1.257 7.008
1.739 4.941 2.624
2.585 2.635 0.964
2.983 -0.048 8.156
4.825 0.524 4.204
3.966 4.155 6.428
4.475 3.277 3.248
```

Principal peaks in the range 2θ = 10–80°, sorted by position:
2theta	d (Å)	I (rel.)	(hkl)
19.69	4.510	44	0 1 1
23.21	3.832	84	-1 1 1
26.37	3.379	38	1 0 -2
28.38	3.145	100	1 1 1
29.62	3.016	42	-1 1 2
30.66	2.916	86	1 -1 2
32.49	2.755	75	1 1 -2
35.65	2.518	39	-2 1 1
39.97	2.256	59	-2 1 2
42.00	2.151	76	1 2 1